1.
For CsHfAgTeSe2, a DFT-relaxed cell (GGA-PBE, OQMD) gives the theoretical powder X-ray diffraction pattern in this record (CuKα).
Peak positions follow from Bragg's law for the DFT cell and can differ from measured ones.

Crystal structure
a b c (Å): 9.1770 4.0480 10.7348
angles (deg): 90.00 113.88 90.00
Space group P2_1/m (No. 11)
Symmetry-distinct sites (fractional):
Cs (0.2371, 0.2500, 0.2537)
Hf (0.3171, 0.7500, 0.8477)
Ag (0.0715, 0.2500, 0.6054)
Te (0.2688, 0.7500, 0.5678)
Se (0.1280, 0.2500, 0.8672)
Se (0.4689, 0.7500, 0.1241)

Main lines, by angle (10 to 90 degrees two-theta):
h k l  d/Å  intensity
1 0 -1  8.234  100
2 1 -1  3.035  64
2 1 0  2.913  44
1 0 3  2.701  30
1 1 -3  2.681  21
2 1 1  2.601  22
3 1 -1  2.427  23
2 1 -4  2.207  32
0 2 0  2.024  26
3 1 2  1.859  20

=====

2.
For ReTe3SeS, a DFT-relaxed cell (GGA-PBE, OQMD) gives the theoretical powder X-ray diffraction pattern in this record (CuKα).
Peak positions follow from Bragg's law for the DFT cell and can differ from measured ones.

Crystal structure
a b c (Å): 7.0431 7.3080 8.0241
angles (deg): 63.31 88.42 71.23
Space group P-1 (No. 2)
Symmetry-distinct sites (fractional):
Re (0.0000, 0.2012, 0.0048)
Te (0.0026, 0.2553, 0.4830)
Te (0.2297, 0.4725, 0.9103)
Te (0.2744, 0.9837, 0.8638)
Se (0.2148, 0.5447, 0.3168)
S (0.1900, 0.0164, 0.3061)

Main lines, by angle (10 to 90 degrees two-theta):
h k l  d/Å  intensity
0 0 1  7.100  41
1 0 0  6.604  100
0 0 2  3.550  14
0 2 2  3.156  18
1 0 2  2.961  52
2 2 0  2.775  40
-1 2 2  2.619  36
3 2 2  2.044  16
3 0 -2  1.999  15
0 2 4  1.989  13